1.
Calculated powder diffraction line list of Ag3AuF8 for CuKα, from a structure optimized by DFT (PBE).

Main lines, by intensity (2θ = 10–80°):
17.88 deg, rel. 100; 22.36 deg, rel. 64; 30.05 deg, rel. 57; 32.41 deg, rel. 47; 42.87 deg, rel. 46; 53.24 deg, rel. 42; 30.81 deg, rel. 38; 30.95 deg, rel. 29; 36.22 deg, rel. 24; 50.02 deg, rel. 24

Structure:
Cell: 6.5434 6.5434 6.6506 Å, 90.00 90.00 130.71°
Sites, in units of the cell vectors:
Ag 0.0000 0.0000 0.0000
Ag 0.0000 0.5000 0.7480
Ag 0.5000 0.0000 0.2520
Au 0.0000 0.0000 0.5000
F 0.1909 0.8091 0.0000
F 0.2324 0.7676 0.5000
F 0.2452 0.2557 0.7130
F 0.2557 0.2452 0.2870
F 0.7443 0.7548 0.2870
F 0.7548 0.7443 0.7130
F 0.7676 0.2324 0.5000
F 0.8091 0.1909 0.0000



2.
Calculated powder diffraction line list of AgAuF4 for CuKα, from a structure optimized by DFT (PBE).

Main lines, by intensity (2θ = 10–80°):
26.96 deg, rel. 100; 52.04 deg, rel. 33; 45.29 deg, rel. 32; 30.47 deg, rel. 27; 43.64 deg, rel. 16; 54.93 deg, rel. 14; 72.65 deg, rel. 13; 55.57 deg, rel. 12; 21.42 deg, rel. 9; 32.69 deg, rel. 8

Structure:
Cell: 6.8725 6.8725 6.8725 Å, 129.47 129.47 74.26°
Sites, in units of the cell vectors:
Ag 0.2500 0.2500 0.0000
Ag 0.7500 0.7500 0.0000
Au 0.0000 0.5000 0.5000
Au 0.5000 0.0000 0.5000
F 0.0426 0.5426 0.8405
F 0.2020 0.0426 0.5000
F 0.2980 0.7980 0.8405
F 0.4574 0.2980 0.5000
F 0.5426 0.7020 0.5000
F 0.7020 0.2020 0.1595
F 0.7980 0.9574 0.5000
F 0.9574 0.4574 0.1595



3.
Calculated powder diffraction line list of KAgAu2F8 for CuKα, from a structure optimized by DFT (PBE).

Main lines, by intensity (2θ = 10–80°):
26.65 deg, rel. 100; 50.90 deg, rel. 47; 16.86 deg, rel. 41; 29.72 deg, rel. 33; 33.04 deg, rel. 27; 45.03 deg, rel. 22; 42.54 deg, rel. 17; 54.89 deg, rel. 16; 72.11 deg, rel. 16; 55.23 deg, rel. 14

Structure:
Cell: 6.8893 6.8893 6.8893 Å, 128.27 128.27 76.19°
Sites, in units of the cell vectors:
K 0.0000 0.0000 0.0000
Ag 0.2500 0.7500 0.5000
Au 0.5000 0.5000 0.0000
Au 0.7500 0.2500 0.5000
F 0.0343 0.4059 0.9524
F 0.1962 0.4032 0.5866
F 0.3905 0.8038 0.2071
F 0.4535 0.0819 0.0476
F 0.5941 0.5465 0.6284
F 0.5968 0.1834 0.7929
F 0.8166 0.6095 0.4134
F 0.9181 0.9657 0.3716



Repeat the first record exactly.
Calculated powder diffraction line list of Ag3AuF8 for CuKα, from a structure optimized by DFT (PBE).

Main lines, by intensity (2θ = 10–80°):
17.88 deg, rel. 100; 22.36 deg, rel. 64; 30.05 deg, rel. 57; 32.41 deg, rel. 47; 42.87 deg, rel. 46; 53.24 deg, rel. 42; 30.81 deg, rel. 38; 30.95 deg, rel. 29; 36.22 deg, rel. 24; 50.02 deg, rel. 24

Structure:
Cell: 6.5434 6.5434 6.6506 Å, 90.00 90.00 130.71°
Sites, in units of the cell vectors:
Ag 0.0000 0.0000 0.0000
Ag 0.0000 0.5000 0.7480
Ag 0.5000 0.0000 0.2520
Au 0.0000 0.0000 0.5000
F 0.1909 0.8091 0.0000
F 0.2324 0.7676 0.5000
F 0.2452 0.2557 0.7130
F 0.2557 0.2452 0.2870
F 0.7443 0.7548 0.2870
F 0.7548 0.7443 0.7130
F 0.7676 0.2324 0.5000
F 0.8091 0.1909 0.0000